# CeGeCl5
Computed powder X-ray diffraction pattern, copper Kα. Input: the GGA-PBE geometry in Alexandria.
Lines closer than 0.1° are merged.

Structure:
a = 7.159 Å, b = 7.159 Å, c = 10.596 Å
α = 108.83°, β = 108.83°, γ = 84.34°
Element x y z (fractional)
Ce 0.000 0.500 0.000
Ce 0.500 0.000 0.500
Ge 0.088 0.912 0.750
Ge 0.912 0.088 0.250
Cl 0.171 0.632 0.841
Cl 0.192 0.256 0.492
Cl 0.249 0.751 0.250
Cl 0.256 0.192 0.992
Cl 0.368 0.829 0.659
Cl 0.632 0.171 0.341
Cl 0.744 0.808 0.008
Cl 0.751 0.249 0.750
Cl 0.808 0.744 0.508
Cl 0.829 0.368 0.159

Principal peaks in the range 10 to 90 degrees two-theta, by angle:
- 13.49°, rel. 42
- 18.25°, rel. 100
- 19.76°, rel. 76
- 29.60°, rel. 54
- 31.77°, rel. 47
- 41.27°, rel. 37
- 43.97°, rel. 36
- 53.00°, rel. 33